Starting from a structure optimized by DFT (GGA-PBE), the X-ray diffraction stick pattern of LiBi3P6O20 was computed for Cu Kα (weighted mean of Kα1 and Kα2).
Peak positions follow from Bragg's law for the DFT cell and can differ from measured ones.

abc: 13.3835 14.7235 10.3378
angles: 90.00 90.00 90.00
Space group Aea2 (No. 41)
Unique sites:
Li  0.0000  0.0000  0.0000 x4
Bi  0.0000  0.0000  0.2985 x4
Bi  0.2272  0.2159  0.4555 x8
P  0.0357  0.3048  0.0013 x8
P  0.1880  0.3743  0.1810 x8
P  0.2051  0.0516  0.1883 x8
O  0.0482  0.3720  0.8887 x8
O  0.0709  0.2187  0.5375 x8
O  0.0762  0.3602  0.1300 x8
O  0.0998  0.2209  0.9789 x8
O  0.1157  0.0173  0.1067 x8
O  0.1722  0.0522  0.3318 x8
O  0.1909  0.3465  0.3212 x8
O  0.1997  0.4831  0.1711 x8
O  0.2365  0.3340  0.5878 x8
O  0.2485  0.1433  0.1503 x8

Principal peaks in the range 2θ from 10° to 80°, by intensity:
2θ 21.0, I 100, hkl 0 2 2; 2θ 12.4, I 84, hkl 1 1 1; 2θ 17.9, I 60, hkl 2 2 0; 2θ 24.9, I 39, hkl 2 2 2; 2θ 37.3, I 37, hkl 2 0 4; 2θ 21.1, I 31, hkl 1 3 1; 2θ 34.2, I 28, hkl 4 2 2; 2θ 13.2, I 27, hkl 2 0 0